(1)
Starting from a DFT-relaxed cell (GGA-PBE, Alexandria), the X-ray powder pattern of KCO2F was computed for a wavelength of 1.5418 Å.
Peak positions follow from Bragg's law for the DFT cell and can differ from measured ones.

Main lines, low angle first (10° ≤ 2θ ≤ 90°):
17.76°, I 86; 22.99°, I 98; 35.97°, I 100; 36.53°, I 52; 37.76°, I 43; 37.88°, I 95

Structural model:
a b c (Å): 10.234 10.234 5.000
angles (deg): 100.26 100.26 14.27
Fractional positions:
K1 0.190 0.190 0.207
K2 0.810 0.810 0.793
C1 0.469 0.469 0.326
C2 0.531 0.531 0.674
O1 0.055 0.055 0.821
O2 0.459 0.459 0.598
O3 0.541 0.541 0.402
O4 0.945 0.945 0.179
F1 0.202 0.202 0.714
F2 0.798 0.798 0.286


(2)
Starting from a DFT-relaxed cell (GGA-PBE, Alexandria), the X-ray powder pattern of Zn3Sn was computed for a wavelength of 1.5418 Å.
Peak positions follow from Bragg's law for the DFT cell and can differ from measured ones.

Main lines, low angle first (10° ≤ 2θ ≤ 90°):
30.54°, I 100; 35.11°, I 61; 39.27°, I 92; 41.32°, I 88; 42.04°, I 97; 42.20°, I 82

Structural model:
a b c (Å): 4.611 5.206 6.698
angles (deg): 98.22 104.35 90.58
Fractional positions:
Zn1 0.141 0.172 0.172
Zn2 0.351 0.086 0.817
Zn3 0.351 0.581 0.820
Zn4 0.649 0.419 0.180
Zn5 0.649 0.914 0.183
Zn6 0.859 0.828 0.828
Sn1 0.223 0.710 0.385
Sn2 0.777 0.290 0.615